[1]
Starting from a DFT-relaxed cell (PBE+U, the Materials Project), the powder XRD pattern of Na2AlNiF7 was simulated for Cu Kα.

Cell and atoms:
```
Na2AlNiF7
1.0
-3.569 5.082 3.714
3.569 -5.082 3.714
3.569 5.082 -3.714
Na Al Ni F
4 2 2 14
direct
0.000 0.000 0.000
0.500 0.000 0.000
0.500 0.000 0.500
0.500 0.500 0.500
0.000 0.500 0.500
0.500 0.500 0.000
0.000 0.000 0.500
0.000 0.500 0.000
0.047 0.248 0.426
0.047 0.621 0.799
0.122 0.872 0.250
0.305 0.721 0.584
0.322 0.248 0.701
0.322 0.621 0.074
0.363 0.279 0.084
0.637 0.721 0.916
0.678 0.379 0.926
0.678 0.752 0.299
0.695 0.279 0.416
0.878 0.128 0.750
0.953 0.379 0.201
0.953 0.752 0.574
```

Peak list (8 most intense, 2θ from 10° to 80°, in order of rising 2θ)
- 5.997 Å, 14.8 deg, I 998
- 3.083 Å, 29.0 deg, I 281
- 3.067 Å, 29.1 deg, I 449
- 2.998 Å, 29.8 deg, I 1000
- 2.921 Å, 30.6 deg, I 927
- 1.999 Å, 45.4 deg, I 250
- 1.808 Å, 50.5 deg, I 892
- 1.567 Å, 58.9 deg, I 436

***

[2]
Starting from a DFT-relaxed cell (PBE+U, the Materials Project), the powder XRD pattern of Li5Fe8B8O24 was simulated for Cu Kα.

Cell and atoms:
```
Li5Fe8B8O24
1.0
5.245 0.000 0.000
0.078 9.068 0.000
0.073 0.176 10.219
Li Fe B O
5 8 8 24
direct
0.000 0.000 0.000
0.035 0.990 0.506
0.183 0.151 0.245
0.529 0.494 0.489
0.671 0.657 0.749
0.021 0.655 0.973
0.030 0.326 0.472
0.169 0.817 0.224
0.180 0.477 0.720
0.496 0.182 0.963
0.532 0.825 0.457
0.663 0.000 0.719
0.677 0.334 0.214
0.022 0.661 0.472
0.169 0.823 0.721
0.179 0.487 0.214
0.516 0.160 0.463
0.518 0.831 0.961
0.674 0.001 0.215
0.687 0.329 0.710
0.997 0.327 0.974
0.014 0.944 0.696
0.037 0.363 0.255
0.053 0.611 0.164
0.065 0.692 0.769
0.115 0.455 0.927
0.123 0.194 0.975
0.142 0.794 0.433
0.170 0.537 0.501
0.256 0.148 0.446
0.259 0.828 0.996
0.432 0.831 0.694
0.436 0.485 0.227
0.536 0.882 0.257
0.542 0.135 0.187
0.555 0.461 0.703
0.566 0.200 0.757
0.632 0.966 0.924
0.644 0.288 0.424
0.655 0.040 0.517
0.664 0.705 0.955
0.748 0.337 0.021
0.761 0.655 0.481
0.937 0.996 0.199
0.938 0.320 0.670
```

Peak list (8 most intense, 2θ from 10° to 80°, in order of rising 2θ)
- 4.526 Å, 19.6 deg, I 822
- 4.137 Å, 21.5 deg, I 922
- 4.118 Å, 21.6 deg, I 421
- 3.423 Å, 26.0 deg, I 649
- 2.625 Å, 34.2 deg, I 639
- 2.609 Å, 34.4 deg, I 324
- 2.555 Å, 35.1 deg, I 1000
- 2.208 Å, 40.9 deg, I 277

***

[3]
Starting from a DFT-relaxed cell (PBE+U, the Materials Project), the powder XRD pattern of LiTbW2O8 was simulated for Cu Kα.

Cell and atoms:
```
LiTbW2O8
1.0
-2.614 2.614 5.622
2.614 -2.614 5.622
2.614 2.614 -5.622
Li Tb W O
1 1 2 8
direct
0.000 0.000 0.000
0.750 0.250 0.500
0.250 0.750 0.500
0.500 0.500 0.000
0.088 0.670 0.087
0.165 0.251 0.596
0.330 0.417 0.418
0.431 0.835 0.086
0.583 0.001 0.913
0.655 0.569 0.404
0.749 0.345 0.914
0.999 0.912 0.582
```

Peak list (8 most intense, 2θ from 10° to 80°, in order of rising 2θ)
- 4.741 Å, 18.7 deg, I 359
- 3.089 Å, 28.9 deg, I 1000
- 2.811 Å, 31.8 deg, I 139
- 2.614 Å, 34.3 deg, I 211
- 1.914 Å, 47.5 deg, I 311
- 1.849 Å, 49.3 deg, I 140
- 1.671 Å, 54.9 deg, I 168
- 1.586 Å, 58.2 deg, I 283

***

[4]
Starting from a DFT-relaxed cell (PBE+U, the Materials Project), the powder XRD pattern of MgMnCo5O12 was simulated for Cu Kα.

Cell and atoms:
```
MgMnCo5O12
1.0
2.448 -4.242 0.000
2.448 4.242 0.000
-1.311 0.000 9.824
Mg Mn Co O
1 1 5 12
direct
0.000 0.000 0.000
0.077 0.077 0.273
0.265 0.931 0.750
0.404 0.738 0.253
0.596 0.596 0.750
0.738 0.404 0.253
0.931 0.265 0.750
0.044 0.363 0.153
0.098 0.745 0.353
0.240 0.574 0.659
0.281 0.281 0.854
0.363 0.044 0.153
0.451 0.451 0.354
0.574 0.240 0.659
0.636 0.958 0.854
0.726 0.726 0.153
0.745 0.098 0.353
0.906 0.906 0.657
0.958 0.636 0.854
```

Peak list (8 most intense, 2θ from 10° to 80°, in order of rising 2θ)
- 4.912 Å, 18.1 deg, I 1000
- 2.427 Å, 37.0 deg, I 79
- 2.409 Å, 37.3 deg, I 154
- 2.335 Å, 38.6 deg, I 134
- 2.024 Å, 44.8 deg, I 139
- 1.899 Å, 47.9 deg, I 153
- 1.584 Å, 58.3 deg, I 88
- 1.413 Å, 66.1 deg, I 131

***

[5]
Starting from a DFT-relaxed cell (PBE+U, the Materials Project), the powder XRD pattern of Fe3OF5 was simulated for Cu Kα.

Cell and atoms:
```
Fe3OF5
1.0
4.624 -3.494 0.000
4.624 3.494 0.000
-2.504 0.000 6.874
Fe O F
6 2 10
direct
0.000 0.000 0.000
0.000 0.000 0.500
0.312 0.312 0.346
0.337 0.337 0.830
0.663 0.663 0.170
0.688 0.688 0.654
0.082 0.082 0.284
0.918 0.918 0.716
0.024 0.646 0.349
0.226 0.226 0.025
0.298 0.702 0.000
0.354 0.976 0.651
0.453 0.453 0.642
0.547 0.547 0.358
0.646 0.024 0.349
0.702 0.298 0.000
0.774 0.774 0.975
0.976 0.354 0.651
```

Peak list (8 most intense, 2θ from 10° to 80°, in order of rising 2θ)
- 3.494 Å, 25.5 deg, I 1000
- 3.301 Å, 27.0 deg, I 835
- 2.676 Å, 33.5 deg, I 463
- 2.660 Å, 33.7 deg, I 532
- 1.815 Å, 50.3 deg, I 320
- 1.810 Å, 50.4 deg, I 347
- 1.763 Å, 51.8 deg, I 234
- 1.749 Å, 52.3 deg, I 453